Record 1
Simulated powder diffraction line list
Compound: CrIr6W5
Radiation: Cu Ka
Structure: a PBE-relaxed structure
No peak broadening, texture or thermal motion is included.

Cell: 3.8983 7.8195 11.7256 Å, 90.00 90.00 90.00°
Space group Immm (No. 71)
One atom of each set of equivalent atoms:
Cr: 0.0000 0.0000 0.0000 x2
Ir: 0.0000 0.2478 0.1657 x8
Ir: 0.0000 0.2542 0.5000 x4
W: 0.0000 0.0000 0.3326 x4
W: 0.0000 0.5000 0.0000 x2
W: 0.0000 0.5000 0.3380 x4

Most intense lines, 2θ = 10–90°, in order of rising 2θ:
(hkl)  two_theta  Rel. int.
1 2 3  40.0  100.0
0 4 0  46.5  32.7
2 0 0  46.6  16.3
2 4 0  67.9  21.2
1 6 3  81.7  25.6
3 2 3  81.9  12.8



Record 2
Simulated powder diffraction line list
Compound: Tl2Te4PAu
Radiation: Cu Ka
Structure: a PBE-relaxed structure
No peak broadening, texture or thermal motion is included.

Cell: 11.6297 8.0860 8.2251 Å, 90.00 134.99 90.00°
Space group C2 (No. 5)
One atom of each set of equivalent atoms:
Tl: 0.0000 0.0000 0.0000 x2
Tl: 0.0000 0.2510 0.5000 x2
Te: 0.1530 0.6631 0.3688 x4
Te: 0.2161 0.3370 0.0631 x4
P: 0.0000 0.4999 0.0000 x2
Au: 0.0000 0.7495 0.5000 x2

Most intense lines, 2θ = 10–90°, in order of rising 2θ:
(hkl)  two_theta  Rel. int.
3 1 -1  26.6  61.6
2 2 -1  26.9  100.0
4 0 -2  30.7  44.8
2 0 1  34.5  30.8
2 2 1  41.3  65.6
2 4 0  50.3  24.9



Record 3
Simulated powder diffraction line list
Compound: HoSc5N6
Radiation: Cu Ka
Structure: a PBE-relaxed structure
No peak broadening, texture or thermal motion is included.

Cell: 5.6154 9.7284 5.6116 Å, 90.00 109.46 90.00°
Space group C2/m (No. 12)
One atom of each set of equivalent atoms:
Ho: 0.0000 0.0000 0.0000 x2
Sc: 0.0000 0.1686 0.5000 x4
Sc: 0.0000 0.3336 0.0000 x4
Sc: 0.0000 0.5000 0.5000 x2
N: 0.2428 0.5000 0.2548 x4
N: 0.2442 0.3290 0.7456 x8

Most intense lines, 2θ = 10–90°, in order of rising 2θ:
(hkl)  two_theta  Rel. int.
1 1 0  19.1  24.4
1 1 -1  21.4  19.8
2 0 0  33.9  87.6
1 3 1  39.3  100.0
2 0 2  56.8  61.0
3 3 1  67.8  37.0



Record 4
Simulated powder diffraction line list
Compound: Nd2Ga4Sn2Pt
Radiation: Cu Ka
Structure: a PBE-relaxed structure
No peak broadening, texture or thermal motion is included.

Cell: 6.4104 6.4104 9.7724 Å, 90.00 90.00 90.00°
Space group I4/mmm (No. 139)
One atom of each set of equivalent atoms:
Nd: 0.0000 0.5000 0.2500 x4
Ga: 0.2186 0.2186 0.0000 x8
Sn: 0.0000 0.0000 0.2204 x4
Pt: 0.0000 0.0000 0.5000 x2

Most intense lines, 2θ = 10–90°, in order of rising 2θ:
(hkl)  two_theta  Rel. int.
2 0 0  27.8  45.7
2 0 2  33.4  100.0
0 0 4  36.8  49.4
2 2 0  39.8  83.2
2 1 3  42.0  43.6
2 2 4  55.3  55.6



Record 5
Simulated powder diffraction line list
Compound: TlCo
Radiation: Cu Ka
Structure: a PBE-relaxed structure
No peak broadening, texture or thermal motion is included.

Cell: 3.3414 3.3414 7.4071 Å, 90.00 90.00 90.00°
Space group P4/nmm (No. 129, origin choice 2)
One atom of each set of equivalent atoms:
Tl: 0.2500 0.2500 0.1819 x2
Co: 0.2500 0.7500 0.5000 x2

Most intense lines, 2θ = 10–90°, in order of rising 2θ:
(hkl)  two_theta  Rel. int.
1 0 1  29.3  100.0
1 0 2  36.2  39.7
0 0 3  36.4  27.8
1 1 1  40.1  27.8
1 1 2  45.5  34.1
2 1 1  63.5  23.1



Record 6
Simulated powder diffraction line list
Compound: Y2CrRu
Radiation: Cu Ka
Structure: a PBE-relaxed structure
No peak broadening, texture or thermal motion is included.

Cell: 3.9365 3.9365 22.3072 Å, 90.00 90.00 120.00°
Space group R3m (No. 160, hexagonal axes)
One atom of each set of equivalent atoms:
Y: 0.0000 0.0000 0.0000 x3
Y: 0.0000 0.0000 0.1891 x3
Cr: 0.0000 0.0000 0.4342 x3
Ru: 0.0000 0.0000 0.7541 x3

Most intense lines, 2θ = 10–90°, in order of rising 2θ:
(hkl)  two_theta  Rel. int.
0 0 3  11.9  83.0
1 0 4  30.7  100.0
0 1 5  33.1  79.7
1 0 7  38.7  43.7
1 1 0  46.1  65.4
1 1 9  60.0  32.3